Diffraction record for Mg5Tl2Ga. The PXRD pattern is computed, not measured: it uses a GGA-PBE-relaxed structure and CuKα.
Lines closer than 0.1° are merged.

Crystal structure
Unit cell a=4.5834 b=4.5834 c=17.4869 alpha=90.00 beta=90.00 gamma=90.00
Space group I4/mmm (No. 139)
Symmetry-distinct sites (fractional):
Mg  0.0000  0.0000  0.0000 (multiplicity 2)
Mg  0.0000  0.5000  0.1166 (multiplicity 8)
Tl  0.0000  0.0000  0.2463 (multiplicity 4)
Ga  0.0000  0.0000  0.5000 (multiplicity 2)

Main lines, by angle (10° ≤ 2θ ≤ 90°):
| 2θ/deg | d (Å) | Rel. int. | h k l |
| --- | --- | --- | --- |
| 10.12 | 8.743 | 95 | 0 0 2 |
| 20.31 | 4.372 | 40 | 0 0 4 |
| 27.52 | 3.241 | 39 | 1 1 0 |
| 29.39 | 3.039 | 40 | 1 1 2 |
| 34.45 | 2.604 | 100 | 1 1 4 |
| 39.31 | 2.292 | 35 | 2 0 0 |
| 44.64 | 2.030 | 22 | 2 0 4 |
| 68.16 | 1.376 | 27 | 3 1 4 |



Diffraction record for Mg8Tl3Ga3. The PXRD pattern is computed, not measured: it uses a GGA-PBE-relaxed structure and CuKα.
Lines closer than 0.1° are merged.

Crystal structure
Unit cell a=5.6827 b=7.4502 c=8.2872 alpha=75.64 beta=75.12 gamma=76.78
Space group P-1 (No. 2)
Symmetry-distinct sites (fractional):
Mg  0.0622  0.2767  0.0123 (multiplicity 2)
Mg  0.1683  0.3889  0.3488 (multiplicity 2)
Mg  0.4218  0.9236  0.8724 (multiplicity 2)
Mg  0.4247  0.3359  0.6611 (multiplicity 2)
Tl  0.0646  0.8753  0.2826 (multiplicity 2)
Tl  0.5000  0.5000  0.0000 (multiplicity 1)
Ga  0.2666  0.7181  0.6661 (multiplicity 2)
Ga  0.5000  0.0000  0.5000 (multiplicity 1)

Main lines, by angle (10° ≤ 2θ ≤ 90°):
| 2θ/deg | d (Å) | Rel. int. | h k l |
| --- | --- | --- | --- |
| 18.46 | 4.807 | 55 | 0 1 -1 |
| 18.79 | 4.722 | 100 | 1 1 0 |
| 25.06 | 3.553 | 57 | 1 0 2 |
| 25.36 | 3.512 | 59 | 0 2 1 |
| 25.54 | 3.487 | 58 | -1 1 1 |
| 34.61 | 2.592 | 51 | 2 1 2 |
| 37.02 | 2.428 | 53 | 1 3 1 |
| 37.42 | 2.404 | 43 | 2 0 -1 |



Diffraction record for Mg12TlGa3. The PXRD pattern is computed, not measured: it uses a GGA-PBE-relaxed structure and CuKα.
Lines closer than 0.1° are merged.

Crystal structure
Unit cell a=4.3473 b=4.3473 c=17.9728 alpha=90.00 beta=90.00 gamma=90.00
Space group P4/mmm (No. 123)
Symmetry-distinct sites (fractional):
Mg  0.0000  0.0000  0.0000 (multiplicity 1)
Mg  0.0000  0.0000  0.2447 (multiplicity 2)
Mg  0.0000  0.0000  0.5000 (multiplicity 1)
Mg  0.0000  0.5000  0.1226 (multiplicity 4)
Mg  0.0000  0.5000  0.3667 (multiplicity 4)
Tl  0.5000  0.5000  0.5000 (multiplicity 1)
Ga  0.5000  0.5000  0.0000 (multiplicity 1)
Ga  0.5000  0.5000  0.2451 (multiplicity 2)

Main lines, by angle (10° ≤ 2θ ≤ 90°):
| 2θ/deg | d (Å) | Rel. int. | h k l |
| --- | --- | --- | --- |
| 19.76 | 4.493 | 20 | 0 0 4 |
| 20.43 | 4.347 | 37 | 1 0 0 |
| 28.57 | 3.124 | 33 | 1 0 4 |
| 35.38 | 2.537 | 100 | 1 1 4 |
| 40.14 | 2.247 | 17 | 0 0 8 |
| 41.55 | 2.174 | 32 | 2 0 0 |
| 59.14 | 1.562 | 21 | 2 0 8 |
| 71.81 | 1.315 | 24 | 3 1 4 |



Diffraction record for Tm3MgGa3. The PXRD pattern is computed, not measured: it uses a GGA-PBE-relaxed structure and CuKα.
Lines closer than 0.1° are merged.

Crystal structure
Unit cell a=8.6285 b=8.6285 c=4.9802 alpha=90.00 beta=90.00 gamma=120.00
Space group P6_3/m (No. 176)
Symmetry-distinct sites (fractional):
Tm  0.0949  0.6598  0.2500 (multiplicity 6)
Mg  0.3333  0.6667  0.7500 (multiplicity 2)
Ga  0.0448  0.8282  0.7500 (multiplicity 6)

Main lines, by angle (10° ≤ 2θ ≤ 90°):
| 2θ/deg | d (Å) | Rel. int. | h k l |
| --- | --- | --- | --- |
| 21.44 | 4.144 | 21 | 1 0 1 |
| 27.35 | 3.261 | 32 | 1 1 1 |
| 31.68 | 2.824 | 45 | 1 2 0 |
| 36.07 | 2.490 | 29 | 0 0 2 |
| 36.58 | 2.457 | 100 | 1 2 1 |
| 48.75 | 1.868 | 30 | 1 2 2 |
| 56.43 | 1.631 | 17 | 4 1 0 |
| 65.18 | 1.431 | 22 | 1 2 3 |



Diffraction record for MgUGa2. The PXRD pattern is computed, not measured: it uses a GGA-PBE-relaxed structure and CuKα.
Lines closer than 0.1° are merged.

Crystal structure
Unit cell a=2.8330 b=2.8330 c=9.1702 alpha=90.00 beta=90.00 gamma=90.00
Space group P4/mmm (No. 123)
Symmetry-distinct sites (fractional):
Mg  0.0000  0.0000  0.0000 (multiplicity 1)
U  0.0000  0.0000  0.5000 (multiplicity 1)
Ga  0.5000  0.5000  0.2391 (multiplicity 2)

Main lines, by angle (10° ≤ 2θ ≤ 90°):
| 2θ/deg | d (Å) | Rel. int. | h k l |
| --- | --- | --- | --- |
| 29.22 | 3.057 | 16 | 0 0 3 |
| 33.09 | 2.707 | 39 | 1 0 1 |
| 37.31 | 2.410 | 100 | 1 0 2 |
| 39.30 | 2.293 | 21 | 0 0 4 |
| 45.27 | 2.003 | 29 | 1 1 0 |
| 61.47 | 1.508 | 23 | 1 1 4 |
| 69.94 | 1.345 | 15 | 1 0 6 |
| 78.29 | 1.221 | 24 | 2 1 2 |



Diffraction record for MgUGa6. The PXRD pattern is computed, not measured: it uses a GGA-PBE-relaxed structure and CuKα.
Lines closer than 0.1° are merged.

Crystal structure
Unit cell a=4.2314 b=4.2314 c=8.3802 alpha=90.00 beta=90.00 gamma=90.00
Space group P4/mmm (No. 123)
Symmetry-distinct sites (fractional):
Mg  0.0000  0.0000  0.0000 (multiplicity 1)
U  0.0000  0.0000  0.5000 (multiplicity 1)
Ga  0.0000  0.5000  0.2416 (multiplicity 4)
Ga  0.5000  0.5000  0.0000 (multiplicity 1)
Ga  0.5000  0.5000  0.5000 (multiplicity 1)

Main lines, by angle (10° ≤ 2θ ≤ 90°):
| 2θ/deg | d (Å) | Rel. int. | h k l |
| --- | --- | --- | --- |
| 10.56 | 8.380 | 32 | 0 0 1 |
| 23.55 | 3.777 | 26 | 1 0 1 |
| 31.76 | 2.818 | 15 | 1 1 1 |
| 36.92 | 2.435 | 100 | 1 1 2 |
| 42.74 | 2.116 | 33 | 2 0 0 |
| 43.18 | 2.095 | 16 | 0 0 4 |
| 62.38 | 1.489 | 21 | 2 0 4 |
| 74.43 | 1.275 | 25 | 3 1 2 |



Diffraction record for Mg2VGa6. The PXRD pattern is computed, not measured: it uses a GGA-PBE-relaxed structure and CuKα.
Lines closer than 0.1° are merged.

Crystal structure
Unit cell a=9.4602 b=5.4595 c=6.4320 alpha=90.00 beta=90.06 gamma=90.00
Space group C2/m (No. 12)
Symmetry-distinct sites (fractional):
Mg  0.1667  0.0000  0.0736 (multiplicity 4)
V  0.0000  0.5000  0.0000 (multiplicity 2)
Ga  0.0843  0.2469  0.6790 (multiplicity 8)
Ga  0.1688  0.5000  0.3214 (multiplicity 4)

Main lines, by angle (10° ≤ 2θ ≤ 90°):
| 2θ/deg | d (Å) | Rel. int. | h k l |
| --- | --- | --- | --- |
| 18.76 | 4.729 | 21 | 2 0 0 |
| 23.35 | 3.810 | 28 | 1 1 1 |
| 33.70 | 2.659 | 22 | 1 1 -2 |
| 35.73 | 2.513 | 25 | 3 1 1 |
| 40.65 | 2.219 | 100 | 4 0 1 |
| 42.15 | 2.144 | 24 | 0 0 3 |
| 47.74 | 1.905 | 41 | 2 2 2 |
| 70.87 | 1.330 | 23 | 4 0 4 |



Diffraction record for Mg14GaW. The PXRD pattern is computed, not measured: it uses a GGA-PBE-relaxed structure and CuKα.
Lines closer than 0.1° are merged.

Crystal structure
Unit cell a=10.1647 b=6.1302 c=10.8113 alpha=90.00 beta=90.00 gamma=90.00
Space group Amm2 (No. 38)
Symmetry-distinct sites (fractional):
Mg  0.0000  0.0000  0.0000 (multiplicity 2)
Mg  0.0000  0.0000  0.4992 (multiplicity 2)
Mg  0.0000  0.2483  0.2517 (multiplicity 4)
Mg  0.2474  0.0000  0.6657 (multiplicity 4)
Mg  0.2583  0.0000  0.1607 (multiplicity 4)
Mg  0.2646  0.2459  0.9188 (multiplicity 8)
Mg  0.5000  0.2503  0.2486 (multiplicity 4)
Ga  0.5000  0.0000  0.5045 (multiplicity 2)
W  0.5000  0.0000  0.0015 (multiplicity 2)

Main lines, by angle (10° ≤ 2θ ≤ 90°):
| 2θ/deg | d (Å) | Rel. int. | h k l |
| --- | --- | --- | --- |
| 16.40 | 5.406 | 30 | 0 0 2 |
| 17.45 | 5.082 | 25 | 2 0 0 |
| 18.59 | 4.773 | 44 | 1 0 2 |
| 18.79 | 4.722 | 24 | 1 1 1 |
| 33.61 | 2.666 | 32 | 0 2 2 |
| 35.32 | 2.541 | 40 | 4 0 0 |
| 37.70 | 2.386 | 54 | 2 0 4 |
| 38.11 | 2.361 | 100 | 2 2 2 |



Diffraction record for YMg4Ga2. The PXRD pattern is computed, not measured: it uses a GGA-PBE-relaxed structure and CuKα.
Lines closer than 0.1° are merged.

Crystal structure
Unit cell a=4.3454 b=16.3827 c=4.3065 alpha=90.00 beta=90.00 gamma=90.00
Space group Cmmm (No. 65)
Symmetry-distinct sites (fractional):
Y  0.0000  0.0000  0.0000 (multiplicity 2)
Mg  0.0000  0.1766  0.5000 (multiplicity 4)
Mg  0.0000  0.3215  0.0000 (multiplicity 4)
Ga  0.0000  0.4259  0.5000 (multiplicity 4)

Main lines, by angle (10° ≤ 2θ ≤ 90°):
| 2θ/deg | d (Å) | Rel. int. | h k l |
| --- | --- | --- | --- |
| 10.80 | 8.191 | 98 | 0 2 0 |
| 29.71 | 3.007 | 92 | 1 1 1 |
| 33.58 | 2.669 | 100 | 1 3 1 |
| 34.28 | 2.616 | 36 | 1 5 0 |
| 39.06 | 2.306 | 36 | 0 6 1 |
| 41.56 | 2.173 | 34 | 2 0 0 |
| 41.96 | 2.153 | 33 | 0 0 2 |
| 43.94 | 2.061 | 29 | 1 7 0 |



Diffraction record for Y2MgZn4Ga3. The PXRD pattern is computed, not measured: it uses a GGA-PBE-relaxed structure and CuKα.
Lines closer than 0.1° are merged.

Crystal structure
Unit cell a=4.1729 b=4.1729 c=10.9283 alpha=90.00 beta=90.00 gamma=90.00
Space group P-4m2 (No. 115)
Symmetry-distinct sites (fractional):
Y  0.0000  0.5000  0.2362 (multiplicity 2)
Mg  0.0000  0.0000  0.5000 (multiplicity 1)
Zn  0.0000  0.0000  0.0000 (multiplicity 1)
Zn  0.0000  0.5000  0.6450 (multiplicity 2)
Zn  0.5000  0.5000  0.0000 (multiplicity 1)
Ga  0.0000  0.5000  0.8649 (multiplicity 2)
Ga  0.5000  0.5000  0.5000 (multiplicity 1)

Main lines, by angle (10° ≤ 2θ ≤ 90°):
| 2θ/deg | d (Å) | Rel. int. | h k l |
| --- | --- | --- | --- |
| 32.63 | 2.744 | 52 | 1 0 3 |
| 34.55 | 2.596 | 100 | 1 1 2 |
| 43.37 | 2.086 | 59 | 2 0 0 |
| 45.23 | 2.005 | 24 | 1 1 4 |
| 46.93 | 1.936 | 35 | 1 0 5 |
| 55.32 | 1.661 | 25 | 2 1 3 |
| 65.80 | 1.419 | 25 | 2 1 5 |
| 73.88 | 1.283 | 20 | 3 1 2 |



Diffraction record for Mg4ZnGa2. The PXRD pattern is computed, not measured: it uses a GGA-PBE-relaxed structure and CuKα.
Lines closer than 0.1° are merged.

Crystal structure
Unit cell a=4.6509 b=4.6509 c=22.8978 alpha=90.00 beta=90.00 gamma=120.00
Space group R-3m (No. 166, hexagonal axes)
Symmetry-distinct sites (fractional):
Mg  0.0000  0.0000  0.1221 (multiplicity 6)
Mg  0.0000  0.0000  0.3724 (multiplicity 6)
Zn  0.0000  0.0000  0.5000 (multiplicity 3)
Ga  0.0000  0.0000  0.2497 (multiplicity 6)

Main lines, by angle (10° ≤ 2θ ≤ 90°):
| 2θ/deg | d (Å) | Rel. int. | h k l |
| --- | --- | --- | --- |
| 11.59 | 7.633 | 28 | 0 0 3 |
| 22.41 | 3.967 | 20 | 1 0 1 |
| 23.41 | 3.800 | 20 | 0 1 2 |
| 27.07 | 3.294 | 33 | 1 0 4 |
| 38.59 | 2.333 | 100 | 0 1 8 |
| 38.72 | 2.325 | 100 | 1 1 0 |
| 55.82 | 1.647 | 33 | 2 0 8 |
| 70.03 | 1.344 | 48 | 3 0 0 |



Diffraction record for MgZn5Ga6. The PXRD pattern is computed, not measured: it uses a GGA-PBE-relaxed structure and CuKα.
Lines closer than 0.1° are merged.

Crystal structure
Unit cell a=5.0868 b=6.0209 c=6.7603 alpha=89.88 beta=87.92 gamma=89.83
Space group P-1 (No. 2)
Symmetry-distinct sites (fractional):
Mg  0.0000  0.0000  0.0000 (multiplicity 1)
Zn  0.0000  0.5000  0.0000 (multiplicity 1)
Zn  0.3307  0.5020  0.3305 (multiplicity 2)
Zn  0.3404  0.0019  0.3364 (multiplicity 2)
Ga  0.1688  0.7452  0.6607 (multiplicity 2)
Ga  0.1714  0.2572  0.6618 (multiplicity 2)
Ga  0.4999  0.2543  0.0008 (multiplicity 2)

Main lines, by angle (10° ≤ 2θ ≤ 90°):
| 2θ/deg | d (Å) | Rel. int. | h k l |
| --- | --- | --- | --- |
| 37.39 | 2.405 | 100 | 2 0 1 |
| 40.04 | 2.252 | 28 | 0 0 3 |
| 43.56 | 2.078 | 21 | 1 2 2 |
| 43.72 | 2.071 | 21 | 1 -2 2 |
| 45.43 | 1.997 | 19 | 2 0 -2 |
| 61.62 | 1.505 | 7 | 0 4 0 |
| 66.66 | 1.403 | 11 | -1 2 4 |
| 76.01 | 1.252 | 8 | 3 -2 3 |



Diffraction record for Mg3Zn8Ga4. The PXRD pattern is computed, not measured: it uses a GGA-PBE-relaxed structure and CuKα.
Lines closer than 0.1° are merged.

Crystal structure
Unit cell a=8.7922 b=8.7922 c=7.9012 alpha=90.00 beta=90.00 gamma=120.00
Space group P6_3mc (No. 186)
Symmetry-distinct sites (fractional):
Mg  0.0571  0.5285  0.0000 (multiplicity 6)
Zn  0.0000  0.0000  0.2151 (multiplicity 2)
Zn  0.1156  0.2312  0.9634 (multiplicity 6)
Zn  0.1751  0.3502  0.6469 (multiplicity 6)
Zn  0.3333  0.6667  0.4141 (multiplicity 2)
Ga  0.1810  0.3620  0.2756 (multiplicity 6)
Ga  0.3333  0.6667  0.7531 (multiplicity 2)

Main lines, by angle (10° ≤ 2θ ≤ 90°):
| 2θ/deg | d (Å) | Rel. int. | h k l |
| --- | --- | --- | --- |
| 11.62 | 7.614 | 55 | 1 0 0 |
| 23.37 | 3.807 | 29 | 2 0 0 |
| 37.21 | 2.416 | 35 | 3 0 1 |
| 38.71 | 2.326 | 55 | 2 1 2 |
| 41.06 | 2.198 | 80 | 2 2 0 |
| 41.70 | 2.166 | 100 | 2 0 3 |
| 44.40 | 2.040 | 19 | 3 1 1 |
| 47.33 | 1.921 | 19 | 2 2 2 |